1.
The following is a simulated X-ray diffraction stick pattern of ReP3. It was derived from a cell relaxed with PBE, using CuKα.
Intensities are scaled so that the largest is 1000.

The 10 most intense peaks (15 to 90 degrees two-theta), most intense first:
20.69 deg, I 1000, hkl 2 0 1; 48.94 deg, I 977, hkl 3 1 2; 33.33 deg, I 855, hkl 0 1 1; 24.40 deg, I 564, hkl 3 0 1; 33.84 deg, I 551, hkl 1 1 1; 23.00 deg, I 496, hkl 4 0 0; 30.66 deg, I 480, hkl 2 1 0; 45.81 deg, I 445, hkl 5 0 2; 40.89 deg, I 398, hkl 4 1 1; 44.64 deg, I 351, hkl 7 0 1

abc: 15.470 3.149 5.161
angles: 90.00 90.00 90.00
Space group Pnma (No. 62)
One atom of each set of equivalent atoms:
Re (0.151, 0.250, 0.150) x4
P (0.013, 0.250, 0.354) x4
P (0.118, 0.750, 0.821) x4
P (0.207, 0.750, 0.477) x4



2.
The following is a simulated X-ray diffraction stick pattern of TbRu3. It was derived from a cell relaxed with PBE, using CuKα.
Intensities are scaled so that the largest is 1000.

The 10 most intense peaks (15 to 90 degrees two-theta), most intense first:
38.43 deg, I 1000, hkl 1 1 1; 44.67 deg, I 488, hkl 2 0 0; 78.12 deg, I 368, hkl 3 1 1; 65.01 deg, I 313, hkl 2 2 0; 82.32 deg, I 107, hkl 2 2 2; 21.91 deg, I 40, hkl 1 0 0; 31.17 deg, I 35, hkl 1 1 0; 50.28 deg, I 20, hkl 2 1 0; 55.47 deg, I 15, hkl 2 1 1; 69.50 deg, I 10, hkl 3 0 0

abc: 4.058 4.058 4.058
angles: 90.00 90.00 90.00
Space group Pm-3m (No. 221)
One atom of each set of equivalent atoms:
Tb (0.000, 0.000, 0.000) x1
Ru (0.000, 0.500, 0.500) x3